The following is a calculated powder diffractogram of Na3LiCd4. It was derived from a PBE-relaxed structure, using λ = 1.5418 Å (Cu Kα).

```
Na3LiCd4
1.0
4.986 0.000 0.000
0.000 4.986 0.000
0.000 0.000 7.033
Na Li Cd
3 1 4
direct
0.000 0.000 0.000
0.000 0.500 0.744
0.500 0.000 0.256
0.500 0.500 0.500
0.000 0.000 0.500
0.000 0.500 0.263
0.500 0.000 0.737
0.500 0.500 0.000
```

Principal peaks in the range 2θ from 10° to 90°, in order of rising 2θ:
| Position (°2θ) | Rel. int. |
| --- | --- |
| 21.9 | 607 |
| 36.1 | 1000 |
| 42.6 | 311 |
| 51.9 | 114 |
| 57.0 | 126 |
| 64.8 | 326 |
| 69.3 | 70 |
| 76.5 | 64 |
| 80.6 | 62 |
| 87.5 | 96 |



The following is a calculated powder diffractogram of Pr2GdSn3Pd2Pt. It was derived from a PBE-relaxed structure, using λ = 1.5418 Å (Cu Kα).

```
Pr2GdSn3Pd2Pt
1.0
4.126 0.000 0.000
0.000 6.623 3.826
0.000 -6.623 3.826
Pr Gd Sn Pd Pt
2 1 3 2 1
direct
0.000 0.205 0.795
0.000 0.795 0.205
0.000 0.387 0.387
0.500 0.048 0.048
0.500 0.540 0.792
0.500 0.792 0.540
0.500 0.133 0.459
0.500 0.459 0.133
0.000 0.790 0.790
```

Principal peaks in the range 2θ from 10° to 90°, in order of rising 2θ:
| Position (°2θ) | Rel. int. |
| --- | --- |
| 31.9 | 787 |
| 34.7 | 1000 |
| 35.9 | 381 |
| 40.9 | 361 |
| 42.2 | 352 |
| 43.9 | 270 |
| 54.7 | 123 |
| 57.9 | 194 |
| 61.5 | 217 |
| 65.4 | 337 |



The following is a calculated powder diffractogram of Sc3AuCN. It was derived from a PBE-relaxed structure, using λ = 1.5418 Å (Cu Kα).

```
Sc3AuCN
1.0
3.310 0.000 0.000
-1.655 2.867 0.000
0.000 0.000 18.942
Sc Au C N
6 2 2 2
direct
0.000 0.000 0.000
0.000 0.000 0.500
0.333 0.667 0.129
0.333 0.667 0.367
0.667 0.333 0.633
0.667 0.333 0.871
0.000 0.000 0.244
0.000 0.000 0.756
0.333 0.667 0.576
0.667 0.333 0.424
0.333 0.667 0.930
0.667 0.333 0.070
```

Principal peaks in the range 2θ from 10° to 90°, in order of rising 2θ:
| Position (°2θ) | Rel. int. |
| --- | --- |
| 18.7 | 208 |
| 31.2 | 318 |
| 32.6 | 403 |
| 36.6 | 1000 |
| 38.0 | 161 |
| 42.6 | 179 |
| 50.0 | 202 |
| 55.5 | 217 |
| 68.4 | 155 |
| 69.3 | 162 |



The following is a calculated powder diffractogram of Rb2ErLuS4. It was derived from a PBE-relaxed structure, using λ = 1.5418 Å (Cu Kα).

```
Rb2ErLuS4
1.0
4.006 0.000 0.000
-2.003 3.469 0.000
0.000 0.000 15.339
Rb Er Lu S
2 1 1 4
direct
0.333 0.667 0.250
0.667 0.333 0.750
0.000 0.000 0.500
0.000 0.000 0.000
0.333 0.667 0.596
0.333 0.667 0.906
0.667 0.333 0.094
0.667 0.333 0.404
```

Principal peaks in the range 2θ from 10° to 90°, in order of rising 2θ:
| Position (°2θ) | Rel. int. |
| --- | --- |
| 11.5 | 384 |
| 23.2 | 284 |
| 28.2 | 1000 |
| 31.2 | 340 |
| 34.9 | 323 |
| 44.0 | 437 |
| 45.3 | 350 |
| 51.5 | 210 |
| 54.2 | 165 |
| 73.2 | 149 |